No. 1
Starting from a structure optimized by DFT (PBE+U), the PXRD pattern of LiCrP2O7 was calculated for Cu Kα, 1.54184 Å.

Largest 12 diffraction maxima, sorted by position, 10° ≤ 2θ ≤ 90°:
- 2θ = 17.81°, 4.980 Å, I = 24
- 2θ = 21.78°, 4.080 Å, I = 54
- 2θ = 22.02°, 4.037 Å, I = 47
- 2θ = 22.60°, 3.934 Å, I = 21
- 2θ = 27.43°, 3.251 Å, I = 100
- 2θ = 29.45°, 3.032 Å, I = 16
- 2θ = 30.27°, 2.953 Å, I = 64
- 2θ = 31.65°, 2.827 Å, I = 36
- 2θ = 32.33°, 2.769 Å, I = 51
- 2θ = 44.06°, 2.055 Å, I = 19
- 2θ = 44.87°, 2.020 Å, I = 15
- 2θ = 52.12°, 1.755 Å, I = 19

Structure:
```
LiCrP2O7
1.0
6.274 0.000 0.000
-0.968 6.200 0.000
-3.048 -2.747 13.005
Li Cr P O
4 4 8 28
direct
0.000 0.000 0.000
0.215 0.425 0.673
0.486 0.984 0.500
0.734 0.445 0.177
0.382 0.067 0.197
0.604 0.627 0.977
0.612 0.800 0.697
0.836 0.356 0.478
0.049 0.475 0.928
0.168 0.952 0.747
0.280 0.561 0.247
0.371 0.480 0.471
0.474 0.086 0.970
0.744 0.341 0.704
0.847 0.943 0.204
0.938 0.862 0.428
0.043 0.503 0.190
0.050 0.294 0.985
0.051 0.028 0.168
0.166 0.392 0.506
0.170 0.132 0.690
0.177 0.919 0.483
0.281 0.586 0.921
0.289 0.556 0.367
0.294 0.067 0.867
0.301 0.772 0.717
0.347 0.013 0.048
0.398 0.800 0.253
0.430 0.397 0.217
0.504 0.295 0.451
0.520 0.685 0.548
0.580 0.494 0.724
0.596 0.326 0.006
0.621 0.101 0.668
0.638 0.933 0.950
0.694 0.740 0.126
0.715 0.129 0.225
0.790 0.026 0.458
0.820 0.623 0.423
0.872 0.414 0.627
0.915 0.654 0.958
0.922 0.360 0.808
0.928 0.863 0.307
0.935 0.842 0.754
```



No. 2
Starting from a structure optimized by DFT (PBE+U), the PXRD pattern of Li2CrPO6 was calculated for Cu Kα, 1.54184 Å.

Largest 12 diffraction maxima, sorted by position, 10° ≤ 2θ ≤ 90°:
- 2θ = 20.07°, 4.424 Å, I = 100
- 2θ = 20.40°, 4.354 Å, I = 16
- 2θ = 20.83°, 4.265 Å, I = 30
- 2θ = 23.22°, 3.830 Å, I = 46
- 2θ = 26.84°, 3.321 Å, I = 25
- 2θ = 29.31°, 3.047 Å, I = 51
- 2θ = 34.02°, 2.635 Å, I = 38
- 2θ = 37.48°, 2.400 Å, I = 26
- 2θ = 38.57°, 2.334 Å, I = 14
- 2θ = 40.55°, 2.224 Å, I = 26
- 2θ = 53.30°, 1.719 Å, I = 22
- 2θ = 63.06°, 1.474 Å, I = 24

Structure:
```
Li2CrPO6
1.0
10.271 0.000 0.000
0.000 4.688 0.000
0.000 0.000 8.708
Li Cr P O
8 4 4 24
direct
0.088 0.023 0.000
0.135 0.538 0.303
0.365 0.038 0.803
0.412 0.523 0.500
0.588 0.477 0.000
0.635 0.962 0.303
0.865 0.462 0.803
0.912 0.977 0.500
0.114 0.482 0.681
0.386 0.982 0.181
0.614 0.018 0.681
0.886 0.518 0.181
0.217 0.085 0.487
0.283 0.585 0.987
0.717 0.415 0.487
0.783 0.915 0.987
0.007 0.295 0.150
0.055 0.248 0.806
0.079 0.230 0.492
0.215 0.742 0.124
0.217 0.761 0.497
0.218 0.691 0.835
0.282 0.191 0.335
0.283 0.261 0.997
0.285 0.242 0.624
0.421 0.730 0.992
0.445 0.748 0.306
0.493 0.795 0.650
0.507 0.205 0.150
0.555 0.252 0.806
0.579 0.270 0.492
0.715 0.758 0.124
0.717 0.739 0.497
0.718 0.809 0.835
0.782 0.309 0.335
0.783 0.239 0.997
0.785 0.258 0.624
0.921 0.770 0.992
0.945 0.752 0.306
0.993 0.705 0.650
```



No. 3
Starting from a structure optimized by DFT (PBE+U), the PXRD pattern of LiCrPO4 was calculated for Cu Kα, 1.54184 Å.

Largest 12 diffraction maxima, sorted by position, 10° ≤ 2θ ≤ 90°:
- 2θ = 12.60°, 7.024 Å, I = 28
- 2θ = 20.07°, 4.423 Å, I = 41
- 2θ = 21.47°, 4.139 Å, I = 99
- 2θ = 21.92°, 4.055 Å, I = 36
- 2θ = 25.36°, 3.512 Å, I = 100
- 2θ = 26.99°, 3.303 Å, I = 20
- 2θ = 30.99°, 2.886 Å, I = 99
- 2θ = 33.76°, 2.655 Å, I = 90
- 2θ = 38.28°, 2.351 Å, I = 31
- 2θ = 48.35°, 1.882 Å, I = 40
- 2θ = 64.94°, 1.436 Å, I = 44
- 2θ = 67.95°, 1.380 Å, I = 20

Structure:
```
LiCrPO4
1.0
7.024 4.055 3.165
-7.024 4.055 3.165
0.000 -8.111 3.165
Li Cr P O
6 6 6 24
direct
0.011 0.198 0.791
0.198 0.791 0.011
0.313 0.718 0.481
0.481 0.313 0.718
0.718 0.481 0.313
0.791 0.011 0.198
0.048 0.817 0.634
0.127 0.361 0.522
0.361 0.522 0.127
0.522 0.127 0.361
0.634 0.048 0.817
0.817 0.634 0.048
0.163 0.978 0.375
0.375 0.163 0.978
0.461 0.689 0.868
0.689 0.868 0.461
0.868 0.461 0.689
0.978 0.375 0.163
0.184 0.493 0.251
0.192 0.885 0.502
0.251 0.184 0.493
0.254 0.961 0.907
0.257 0.262 0.936
0.262 0.936 0.257
0.323 0.624 0.673
0.361 0.673 0.988
0.493 0.251 0.184
0.502 0.192 0.885
0.562 0.569 0.871
0.569 0.871 0.562
0.600 0.885 0.944
0.624 0.673 0.323
0.673 0.323 0.624
0.673 0.988 0.361
0.871 0.562 0.569
0.885 0.502 0.192
0.885 0.944 0.600
0.907 0.254 0.961
0.936 0.257 0.262
0.944 0.600 0.885
0.961 0.907 0.254
0.988 0.361 0.673
```



No. 4
Starting from a structure optimized by DFT (PBE+U), the PXRD pattern of LiCrPO5 was calculated for Cu Kα, 1.54184 Å.

Largest 12 diffraction maxima, sorted by position, 10° ≤ 2θ ≤ 90°:
- 2θ = 18.03°, 4.920 Å, I = 42
- 2θ = 18.45°, 4.809 Å, I = 66
- 2θ = 18.66°, 4.755 Å, I = 26
- 2θ = 18.98°, 4.675 Å, I = 37
- 2θ = 22.06°, 4.029 Å, I = 36
- 2θ = 26.20°, 3.402 Å, I = 24
- 2θ = 26.32°, 3.387 Å, I = 23
- 2θ = 26.92°, 3.312 Å, I = 22
- 2θ = 27.87°, 3.202 Å, I = 96
- 2θ = 28.04°, 3.183 Å, I = 67
- 2θ = 29.28°, 3.050 Å, I = 100
- 2θ = 36.24°, 2.479 Å, I = 59

Structure:
```
LiCrPO5
1.0
6.766 0.000 0.000
3.018 6.297 0.000
0.192 -0.039 8.059
Li Cr P O
4 4 4 20
direct
0.200 0.308 0.427
0.280 0.784 0.073
0.720 0.216 0.927
0.800 0.692 0.573
0.256 0.499 0.756
0.257 0.995 0.744
0.743 0.005 0.256
0.744 0.501 0.244
0.237 0.745 0.413
0.263 0.251 0.088
0.737 0.749 0.912
0.763 0.255 0.587
0.056 0.416 0.178
0.070 0.875 0.281
0.144 0.617 0.525
0.217 0.086 0.987
0.236 0.760 0.824
0.260 0.244 0.683
0.306 0.891 0.518
0.368 0.365 0.974
0.418 0.140 0.233
0.435 0.588 0.309
0.565 0.412 0.691
0.582 0.860 0.767
0.632 0.635 0.026
0.694 0.109 0.482
0.740 0.756 0.317
0.764 0.240 0.176
0.783 0.914 0.013
0.856 0.383 0.475
0.930 0.125 0.719
0.944 0.584 0.822
```